Theoretical X-ray diffraction stick pattern
Compound: Hf3TiNi2C
Radiation: a wavelength of 1.5418 Å
Structure: the PBE geometry in Alexandria

Structural model:
```
data_Hf3TiNi2C
_chemical_formula_sum 'Hf6 Ti2 Ni4 C2'
_cell_length_a 4.1102
_cell_length_b 4.3824
_cell_length_c 12.7318
_cell_angle_alpha 90.00
_cell_angle_beta 90.00
_cell_angle_gamma 90.00
_space_group_name_H-M_alt 'I m m m'
_space_group_IT_number 71
_space_group_name_Hall '-I 2 2'
loop_
_atom_site_label
_atom_site_fract_x
_atom_site_fract_y
_atom_site_fract_z
_atom_site_occupancy
Hf1 0.0000 0.0000 0.0000 1
Hf2 0.0000 0.5000 0.1813 1
Ti1 0.0000 0.0000 0.5000 1
Ni1 0.0000 0.5000 0.3725 1
C1 0.0000 0.5000 0.0000 1
```

The 10 most intense peaks (10 to 90 degrees two-theta), most intense first:
hkl 1 1 2, d = 2.712 Å, intensity 100; hkl 0 1 3, d = 3.049 Å, intensity 44; hkl 1 1 4, d = 2.182 Å, intensity 43; hkl 1 0 5, d = 2.165 Å, intensity 36; hkl 0 2 0, d = 2.191 Å, intensity 35; hkl 2 0 0, d = 2.055 Å, intensity 29; hkl 1 2 5, d = 1.540 Å, intensity 24; hkl 1 1 0, d = 2.998 Å, intensity 24; hkl 1 0 1, d = 3.911 Å, intensity 24; hkl 2 2 0, d = 1.499 Å, intensity 21

Theoretical X-ray diffraction stick pattern
Compound: Pu3UGa
Radiation: a wavelength of 1.5418 Å
Structure: the PBE geometry in Alexandria

Structural model:
```
data_Pu3UGa
_chemical_formula_sum 'Pu24 U8 Ga8'
_cell_length_a 9.5267
_cell_length_b 11.3171
_cell_length_c 8.1317
_cell_angle_alpha 90.00
_cell_angle_beta 90.00
_cell_angle_gamma 90.00
_space_group_name_H-M_alt 'C m c e'
_space_group_IT_number 64
_space_group_name_Hall '-C 2ac 2'
loop_
_atom_site_label
_atom_site_fract_x
_atom_site_fract_y
_atom_site_fract_z
_atom_site_occupancy
Pu1 0.0000 0.0556 0.1667 1
Pu2 0.1905 0.1243 0.5728 1
U1 0.2500 0.1322 0.2500 1
Ga1 0.0000 0.2116 0.8583 1
```

The 10 most intense peaks (10 to 90 degrees two-theta), most intense first:
hkl 0 2 3, d = 2.444 Å, intensity 100; hkl 3 1 1, d = 2.862 Å, intensity 77; hkl 2 2 3, d = 2.175 Å, intensity 72; hkl 2 4 0, d = 2.433 Å, intensity 69; hkl 0 4 0, d = 2.829 Å, intensity 46; hkl 1 3 2, d = 2.656 Å, intensity 44; hkl 2 4 1, d = 2.329 Å, intensity 41; hkl 2 0 0, d = 4.763 Å, intensity 30; hkl 4 0 0, d = 2.382 Å, intensity 25; hkl 1 1 3, d = 2.541 Å, intensity 25

Theoretical X-ray diffraction stick pattern
Compound: Pr2TmPdO6
Radiation: a wavelength of 1.5418 Å
Structure: the PBE geometry in Alexandria

Structural model:
```
data_Pr2TmPdO6
_chemical_formula_sum 'Pr4 Tm2 Pd2 O12'
_cell_length_a 10.3024
_cell_length_b 5.7201
_cell_length_c 5.7189
_cell_angle_alpha 90.00
_cell_angle_beta 121.16
_cell_angle_gamma 90.00
_space_group_name_H-M_alt 'C 1 2 1'
_space_group_IT_number 5
loop_
_space_group_symop_operation_xyz
'x,y,z'
'-x,y,-z'
'x+1/2,y+1/2,z'
'-x+1/2,y+1/2,-z'
loop_
_atom_site_label
_atom_site_fract_x
_atom_site_fract_y
_atom_site_fract_z
_atom_site_occupancy
Pr1 0.2450 0.0000 0.2167 1
Tm1 0.0000 0.0211 0.5000 1
Pd1 0.0000 0.5198 0.0000 1
O1 0.0743 0.7606 0.8254 1
O2 0.0750 0.2718 0.8421 1
O3 0.2376 0.0789 0.6112 1
```

The 10 most intense peaks (10 to 90 degrees two-theta), most intense first:
hkl 1 1 1, d = 3.027 Å, intensity 100; hkl 3 1 -1, d = 2.934 Å, intensity 91; hkl 0 2 0, d = 2.858 Å, intensity 73; hkl 2 2 -2, d = 2.021 Å, intensity 40; hkl 4 2 0, d = 1.746 Å, intensity 24; hkl 4 0 0, d = 2.204 Å, intensity 23; hkl 3 3 -1, d = 1.665 Å, intensity 18; hkl 1 1 -3, d = 1.697 Å, intensity 18; hkl 1 3 1, d = 1.682 Å, intensity 18; hkl 5 1 -3, d = 1.648 Å, intensity 17

Theoretical X-ray diffraction stick pattern
Compound: Li2CaRhF8
Radiation: a wavelength of 1.5418 Å
Structure: the PBE geometry in Alexandria

Structural model:
```
data_Li2CaRhF8
_chemical_formula_sum 'Li2 Ca1 Rh1 F8'
_cell_length_a 4.7943
_cell_length_b 4.8053
_cell_length_c 6.7513
_cell_angle_alpha 89.93
_cell_angle_beta 89.93
_cell_angle_gamma 87.20
_space_group_name_H-M_alt 'P -1'
_space_group_IT_number 2
loop_
_space_group_symop_operation_xyz
'x,y,z'
'-x,-y,-z'
loop_
_atom_site_label
_atom_site_fract_x
_atom_site_fract_y
_atom_site_fract_z
_atom_site_occupancy
Li1 0.0005 0.0005 0.2837 1
Ca1 0.5000 0.5000 0.5000 1
Rh1 0.5000 0.5000 0.0000 1
F1 0.1863 0.1848 0.5001 1
F2 0.2255 0.2221 0.0005 1
F3 0.2966 0.7002 0.2155 1
F4 0.2966 0.7002 0.7845 1
```

The 10 most intense peaks (10 to 90 degrees two-theta), most intense first:
hkl 0 1 0, d = 4.794 Å, intensity 100; hkl 1 -1 2, d = 2.363 Å, intensity 60; hkl 1 0 1, d = 3.909 Å, intensity 39; hkl 1 1 0, d = 3.476 Å, intensity 35; hkl 0 0 1, d = 6.751 Å, intensity 33; hkl 1 0 2, d = 2.760 Å, intensity 32; hkl 1 -1 0, d = 3.310 Å, intensity 31; hkl 1 2 0, d = 2.187 Å, intensity 29; hkl 2 -1 2, d = 1.785 Å, intensity 23; hkl 0 0 2, d = 3.376 Å, intensity 23

Theoretical X-ray diffraction stick pattern
Compound: Ca5Ga2N5
Radiation: a wavelength of 1.5418 Å
Structure: the PBE geometry in Alexandria

Structural model:
```
data_Ca5Ga2N5
_chemical_formula_sum 'Ca10 Ga4 N10'
_cell_length_a 8.1502
_cell_length_b 8.1502
_cell_length_c 5.5743
_cell_angle_alpha 90.00
_cell_angle_beta 90.00
_cell_angle_gamma 90.00
_space_group_name_H-M_alt 'I 4 m m'
_space_group_IT_number 107
_space_group_name_Hall 'I 4 -2'
loop_
_atom_site_label
_atom_site_fract_x
_atom_site_fract_y
_atom_site_fract_z
_atom_site_occupancy
Ca1 0.0000 0.0000 0.0000 1
Ca2 0.1948 0.1948 0.4567 1
Ga1 0.0000 0.5000 0.3966 1
N1 0.0000 0.0000 0.5873 1
N2 0.0000 0.3142 0.1523 1
```

The 10 most intense peaks (10 to 90 degrees two-theta), most intense first:
hkl 2 2 0, d = 2.882 Å, intensity 100; hkl 2 2 2, d = 2.003 Å, intensity 77; hkl 3 0 1, d = 2.442 Å, intensity 71; hkl 1 1 0, d = 5.763 Å, intensity 64; hkl 3 1 2, d = 1.892 Å, intensity 61; hkl 0 0 2, d = 2.787 Å, intensity 48; hkl 2 1 1, d = 3.051 Å, intensity 34; hkl 4 0 0, d = 2.038 Å, intensity 33; hkl 3 1 0, d = 2.577 Å, intensity 33; hkl 1 1 2, d = 2.509 Å, intensity 32

Theoretical X-ray diffraction stick pattern
Compound: HoIn3Hg
Radiation: a wavelength of 1.5418 Å
Structure: the PBE geometry in Alexandria

Structural model:
```
data_HoIn3Hg
_chemical_formula_sum 'Ho2 In6 Hg2'
_cell_length_a 9.0461
_cell_length_b 3.3009
_cell_length_c 9.9165
_cell_angle_alpha 90.00
_cell_angle_beta 90.00
_cell_angle_gamma 90.00
_space_group_name_H-M_alt 'P m m a'
_space_group_IT_number 51
loop_
_space_group_symop_operation_xyz
'x,y,z'
'-x,-y,-z'
'-x+1/2,-y,z'
'x+1/2,y,-z'
'x+1/2,-y,-z'
'-x+1/2,y,z'
'-x,y,-z'
'x,-y,z'
loop_
_atom_site_label
_atom_site_fract_x
_atom_site_fract_y
_atom_site_fract_z
_atom_site_occupancy
Ho1 0.2500 0.0000 0.1474 1
In1 0.0000 0.5000 0.0000 1
In2 0.0597 0.5000 0.3643 1
Hg1 0.2500 0.5000 0.7688 1
```

The 10 most intense peaks (10 to 90 degrees two-theta), most intense first:
hkl 2 0 3, d = 2.668 Å, intensity 100; hkl 3 1 1, d = 2.172 Å, intensity 92; hkl 2 0 2, d = 3.342 Å, intensity 68; hkl 1 1 1, d = 2.960 Å, intensity 62; hkl 1 1 2, d = 2.629 Å, intensity 54; hkl 0 1 0, d = 3.301 Å, intensity 48; hkl 1 0 3, d = 3.105 Å, intensity 43; hkl 2 2 3, d = 1.404 Å, intensity 41; hkl 4 0 0, d = 2.262 Å, intensity 40; hkl 0 1 3, d = 2.336 Å, intensity 36